Structure and calculated PXRD pattern of TaCu3Te2Se2 (a structure optimized by DFT (PBE); a wavelength of 1.5418 Å).
Neutral-atom scattering factors, no anomalous dispersion.

Most intense lines, 2θ from 5° to 70°, low angle first:
2theta, I (rel.), h k l
15.08, 1000, 0 0 1
26.17, 542, 0 2 1
26.37, 515, 2 0 1
34.13, 460, 2 2 1
43.28, 257, 0 4 0
43.58, 997, 2 2 2
43.79, 242, 4 0 0
46.27, 170, 1 3 2
51.39, 158, 2 4 1
51.71, 232, 2 0 3

abc: 8.269 8.363 5.869
angles: 90.00 90.00 90.00
Space group Cmm2 (No. 35)
Asymmetric unit:
Ta: 0.000 0.000 0.000
Cu: 0.000 0.000 0.490
Cu: 0.250 0.250 0.004
Te: 0.237 0.500 0.735
Se: 0.000 0.242 0.240



Structure and calculated PXRD pattern of TbCuSe2 (a structure optimized by DFT (PBE); a wavelength of 1.5418 Å).
Neutral-atom scattering factors, no anomalous dispersion.

Most intense lines, 2θ from 5° to 70°, low angle first:
2theta, I (rel.), h k l
13.75, 253, 0 0 1
25.06, 84, 1 0 0
28.70, 1000, 0 1 1
37.70, 626, 0 1 2
44.15, 504, 1 1 0
49.62, 241, 1 0 3
53.51, 174, 2 0 1
59.42, 164, 2 0 2
62.64, 113, 1 1 3
68.57, 90, 0 2 3

abc: 4.1027 4.1027 6.4399
angles: 90.00 90.00 120.00
Space group P3m1 (No. 156)
Asymmetric unit:
Tb: 0.0000 0.0000 0.0000
Cu: 0.6667 0.3333 0.3835
Se: 0.3333 0.6667 0.2705
Se: 0.6667 0.3333 0.7613



Structure and calculated PXRD pattern of TbCuSe2 (a structure optimized by DFT (PBE); a wavelength of 1.5418 Å).
Neutral-atom scattering factors, no anomalous dispersion.

Most intense lines, 2θ from 5° to 70°, low angle first:
2theta, I (rel.), h k l
22.89, 690, 1 1 1
30.00, 752, 1 2 -1
31.22, 1000, 2 1 -1
32.40, 527, 1 1 2
35.27, 838, 0 2 2
36.68, 379, 2 2 0
39.31, 609, 2 0 2
40.23, 397, 0 1 3
46.69, 384, 1 2 -3
48.08, 325, 3 1 -2

abc: 6.619 7.342 7.101
angles: 90.00 96.07 90.00
Space group P2_1/c (No. 14)
Asymmetric unit:
Tb: 0.196 0.042 0.299
Cu: 0.426 0.659 0.455
Se: 0.071 0.724 0.497
Se: 0.400 0.112 0.718



Structure and calculated PXRD pattern of Tb3CuSe6 (a structure optimized by DFT (PBE); a wavelength of 1.5418 Å).
Neutral-atom scattering factors, no anomalous dispersion.

Most intense lines, 2θ from 5° to 70°, low angle first:
2theta, I (rel.), h k l
22.97, 535, 1 1 -3
23.08, 638, 1 1 3
31.37, 303, 0 0 6
34.16, 586, 2 2 0
35.91, 370, 1 1 6
36.89, 1000, 1 3 0
39.17, 793, 0 2 6
40.40, 295, 2 0 -6
42.80, 436, 3 1 -3
43.01, 464, 3 1 3

abc: 7.115 7.780 17.111
angles: 90.00 90.40 90.00
Space group P2_1/c (No. 14)
Asymmetric unit:
Tb: 0.232 0.058 0.091
Tb: 0.239 0.058 0.412
Tb: 0.266 0.060 0.750
Cu: 0.394 0.711 0.473
Se: 0.064 0.749 0.001
Se: 0.075 0.749 0.177
Se: 0.078 0.750 0.321
Se: 0.381 0.097 0.251
Se: 0.382 0.092 0.581
Se: 0.390 0.091 0.918